SmPt3: calculated X-ray powder pattern (λ = 1.5418 Å (Cu Kα)), based on a structure optimized by DFT (GGA-PBE).

Peak list (5 most intense, 2θ = 5–70°, sorted by position)
hkl 1 0 0, d = 4.173 Å, rel. 1; hkl 1 1 0, d = 2.951 Å, rel. 1; hkl 1 1 1, d = 2.409 Å, rel. 100; hkl 2 0 0, d = 2.086 Å, rel. 50; hkl 2 2 0, d = 1.475 Å, rel. 33

Structure:
a b c (Å): 4.1728 4.1728 4.1728
angles (deg): 90.00 90.00 90.00
Space group Pm-3m (No. 221)
Asymmetric unit:
1 Sm 0.0000 0.0000 0.0000 [1 per cell]
2 Pt 0.0000 0.5000 0.5000 [3 per cell]